Calculated X-ray diffraction stick pattern
Compound: Ac5Nd4Ho
Radiation: a wavelength of 1.5418 Å
Structure: the GGA-PBE geometry in Alexandria
No peak broadening, texture or thermal motion is included.

```
Ac5Nd4Ho
1.0
4.437 0.000 0.000
0.000 4.437 0.000
0.000 0.000 19.984
Ac Nd Ho
5 4 1
Direct
0.000 0.000 0.000 Ac
0.000 0.000 0.200 Ac
0.000 0.000 0.403 Ac
0.000 0.000 0.597 Ac
0.000 0.000 0.800 Ac
0.500 0.500 0.100 Nd
0.500 0.500 0.300 Nd
0.500 0.500 0.700 Nd
0.500 0.500 0.900 Nd
0.500 0.500 0.500 Ho
```

Main lines, sorted by position (10 to 80 degrees two-theta):
28.4°, intensity 58; 30.1°, intensity 100; 40.7°, intensity 22; 51.4°, intensity 46; 54.4°, intensity 19; 62.6°, intensity 13

Calculated X-ray diffraction stick pattern
Compound: Ac6NdHo2
Radiation: a wavelength of 1.5418 Å
Structure: the GGA-PBE geometry in Alexandria
No peak broadening, texture or thermal motion is included.

```
Ac6NdHo2
1.0
8.021 -4.739 0.000
8.021 4.739 0.000
-1.754 0.000 9.938
Ac Nd Ho
12 2 4
Direct
0.084 0.644 0.482 Ac
0.096 0.702 0.873 Ac
0.298 0.904 0.627 Ac
0.314 0.445 0.168 Ac
0.356 0.916 0.018 Ac
0.445 0.314 0.668 Ac
0.555 0.686 0.332 Ac
0.644 0.084 0.982 Ac
0.686 0.555 0.832 Ac
0.702 0.096 0.373 Ac
0.904 0.298 0.127 Ac
0.916 0.356 0.518 Ac
0.101 0.899 0.250 Nd
0.899 0.101 0.750 Nd
0.140 0.296 0.852 Ho
0.296 0.140 0.352 Ho
0.704 0.860 0.648 Ho
0.860 0.704 0.148 Ho
```

Main lines, sorted by position (10 to 80 degrees two-theta):
22.5°, intensity 42; 27.1°, intensity 36; 28.2°, intensity 62; 28.4°, intensity 55; 29.6°, intensity 100; 29.9°, intensity 66

Calculated X-ray diffraction stick pattern
Compound: AcPmNdHo
Radiation: a wavelength of 1.5418 Å
Structure: the GGA-PBE geometry in Alexandria
No peak broadening, texture or thermal motion is included.

```
AcPmNdHo
1.0
3.742 0.000 0.000
-1.871 3.241 0.000
0.000 0.000 11.963
Ac Pm Nd Ho
1 1 1 1
Direct
0.000 0.000 0.000 Ac
0.333 0.667 0.261 Pm
0.667 0.333 0.507 Nd
0.333 0.667 0.746 Ho
```

Main lines, sorted by position (10 to 80 degrees two-theta):
28.5°, intensity 53; 29.9°, intensity 34; 31.4°, intensity 100; 35.7°, intensity 29; 48.7°, intensity 28; 58.2°, intensity 32

Copy entry 3 word for word.
Calculated X-ray diffraction stick pattern
Compound: AcPmNdHo
Radiation: a wavelength of 1.5418 Å
Structure: the GGA-PBE geometry in Alexandria
No peak broadening, texture or thermal motion is included.

```
AcPmNdHo
1.0
3.742 0.000 0.000
-1.871 3.241 0.000
0.000 0.000 11.963
Ac Pm Nd Ho
1 1 1 1
Direct
0.000 0.000 0.000 Ac
0.333 0.667 0.261 Pm
0.667 0.333 0.507 Nd
0.333 0.667 0.746 Ho
```

Main lines, sorted by position (10 to 80 degrees two-theta):
28.5°, intensity 53; 29.9°, intensity 34; 31.4°, intensity 100; 35.7°, intensity 29; 48.7°, intensity 28; 58.2°, intensity 32